Starting from a structure optimized by DFT (PBE+U), the X-ray powder pattern of Li7Co5O12 was computed for λ = 1.5418 Å (Cu Kα).
Kinematic intensities with the Lorentz-polarization factor, no thermal factor.

```
data_Li7Co5O12
_chemical_formula_sum 'Li7 Co5 O12'
_cell_length_a 5.6801
_cell_length_b 6.3865
_cell_length_c 6.4198
_cell_angle_alpha 96.92
_cell_angle_beta 102.79
_cell_angle_gamma 116.32
_space_group_name_H-M_alt 'P 1'
_space_group_IT_number 1
_space_group_name_Hall 'P 1'
loop_
_atom_site_label
_atom_site_type_symbol
_atom_site_fract_x
_atom_site_fract_y
_atom_site_fract_z
Li1 Li 0.0000 0.0000 0.0000
Li2 Li 0.2433 0.8341 0.3258
Li3 Li 0.2456 0.1666 0.6725
Li4 Li 0.2487 0.4962 0.9998
Li5 Li 0.7513 0.5038 0.0002
Li6 Li 0.7544 0.8334 0.3275
Li7 Li 0.7567 0.1659 0.6742
Co1 Co 0.9998 0.3277 0.3313
Co2 Co 0.0002 0.6723 0.6687
Co3 Co 0.4964 0.3295 0.3325
Co4 Co 0.5000 0.0000 0.0000
Co5 Co 0.5036 0.6705 0.6675
O1 O 0.1290 0.4369 0.6501
O2 O 0.1412 0.1110 0.3389
O3 O 0.1427 0.7607 0.9817
O4 O 0.3666 0.5618 0.3470
O5 O 0.3724 0.9035 0.6822
O6 O 0.3907 0.2387 0.0181
O7 O 0.6093 0.7613 0.9819
O8 O 0.6276 0.0965 0.3178
O9 O 0.6334 0.4382 0.6530
O10 O 0.8573 0.2393 0.0183
O11 O 0.8588 0.8890 0.6611
O12 O 0.8710 0.5631 0.3499
```

Principal peaks in the range 10° ≤ 2θ ≤ 90°, in order of rising 2θ:
(0 1 -1), 18.80°, intensity 100
(0 1 2), 37.17°, intensity 36
(2 -1 1), 38.75°, intensity 7
(0 0 3), 44.90°, intensity 51
(2 -3 0), 45.01°, intensity 25
(2 0 -3), 49.00°, intensity 8
(2 2 -2), 59.25°, intensity 10
(2 1 -4), 64.82°, intensity 13
(-4 2 1), 65.76°, intensity 7
(2 1 2), 65.98°, intensity 14